[1]
This entry pairs a crystal structure of La8Dy5Th with its computed PXRD pattern. Radiation: Cu Kα. Structure: a DFT-relaxed cell (PBE, Alexandria).
Neutral-atom scattering factors, no anomalous dispersion.

Peak list (10 most intense, 2θ = 15–90°, most intense first)
2theta  d_spacing  I_rel  h k l
30.5  2.926  100  -2 2 1
31.7  2.820  72  0 3 -2
30.9  2.898  69  1 -1 2
30.4  2.940  60  1 2 0
33.0  2.717  53  3 0 -1
31.1  2.874  49  2 1 -3
32.5  2.754  22  0 2 1
41.5  2.174  22  -1 1 3
59.6  1.551  17  4 3 -5
46.3  1.961  17  3 -3 1

Structural model:
```
data_La8Dy5Th
_cell_length_a 8.416
_cell_length_b 8.787
_cell_length_c 8.925
_cell_angle_alpha 114.50
_cell_angle_beta 118.06
_cell_angle_gamma 94.09
_space_group_name_H-M_alt 'P 1'
_space_group_IT_number 1
_space_group_name_Hall 'P 1'
loop_
_atom_site_label
_atom_site_type_symbol
_atom_site_fract_x
_atom_site_fract_y
_atom_site_fract_z
_atom_site_occupancy
La1 La 0.000 0.000 0.000 1
La2 La 0.021 0.288 0.621 1
La3 La 0.240 0.691 0.167 1
La4 La 0.365 0.131 0.812 1
La5 La 0.458 0.722 0.647 1
La6 La 0.571 0.479 0.324 1
La7 La 0.882 0.373 0.150 1
La8 La 0.948 0.859 0.327 1
Dy1 Dy 0.090 0.706 0.696 1
Dy2 Dy 0.341 0.247 0.470 1
Dy3 Dy 0.563 0.022 0.162 1
Dy4 Dy 0.684 0.014 0.583 1
Dy5 Dy 0.787 0.519 0.792 1
Th1 Th 0.496 0.567 0.952 1
```

[2]
This entry pairs a crystal structure of Pr3Al7Pt4 with its computed PXRD pattern. Radiation: Cu Kα. Structure: a DFT-relaxed cell (PBE, Alexandria).
Neutral-atom scattering factors, no anomalous dispersion.

Peak list (10 most intense, 2θ = 15–90°, most intense first)
2theta  d_spacing  I_rel  h k l
34.9  2.571  100  3 1 -3
26.2  3.403  55  1 1 1
34.3  2.617  46  1 1 2
41.7  2.167  44  0 2 0
29.0  3.081  41  3 1 0
26.5  3.366  37  3 1 -1
35.2  2.547  31  6 0 -3
22.6  3.931  27  0 0 2
32.6  2.748  26  2 0 2
43.5  2.082  20  3 1 -4

Structural model:
```
data_Pr3Al7Pt4
_cell_length_a 16.041
_cell_length_b 4.334
_cell_length_c 9.605
_cell_angle_alpha 90.00
_cell_angle_beta 125.06
_cell_angle_gamma 90.00
_space_group_name_H-M_alt 'C 1 2/m 1'
_space_group_IT_number 12
_space_group_name_Hall '-C 2y'
loop_
_atom_site_label
_atom_site_type_symbol
_atom_site_fract_x
_atom_site_fract_y
_atom_site_fract_z
_atom_site_occupancy
Pr1 Pr 0.000 0.000 0.000 1
Pr2 Pr 0.189 0.500 0.693 1
Al1 Al 0.000 0.000 0.500 1
Al2 Al 0.003 0.500 0.290 1
Al3 Al 0.158 0.000 0.426 1
Al4 Al 0.182 0.500 0.028 1
Pt1 Pt 0.119 0.000 0.847 1
Pt2 Pt 0.158 0.500 0.283 1
```

[3]
This entry pairs a crystal structure of AcIn4Hg7 with its computed PXRD pattern. Radiation: Cu Kα. Structure: a DFT-relaxed cell (PBE, Alexandria).
Neutral-atom scattering factors, no anomalous dispersion.

Peak list (10 most intense, 2θ = 15–90°, most intense first)
2theta  d_spacing  I_rel  h k l
33.6  2.671  100  2 0 1
33.4  2.686  49  0 0 3
33.0  2.713  49  -1 2 1
32.5  2.757  46  1 2 -1
35.2  2.547  42  2 0 -2
45.5  1.995  19  1 2 2
58.6  1.576  16  2 0 4
50.0  1.825  15  3 -2 0
62.2  1.493  13  -3 2 3
49.0  1.861  13  1 2 -4

Structural model:
```
data_AcIn4Hg7
_cell_length_a 6.033
_cell_length_b 6.762
_cell_length_c 8.360
_cell_angle_alpha 103.60
_cell_angle_beta 95.18
_cell_angle_gamma 97.90
_space_group_name_H-M_alt 'P -1'
_space_group_IT_number 2
_space_group_name_Hall '-P 1'
loop_
_atom_site_label
_atom_site_type_symbol
_atom_site_fract_x
_atom_site_fract_y
_atom_site_fract_z
_atom_site_occupancy
Ac1 Ac 0.000 0.000 0.000 1
In1 In 0.198 0.260 0.679 1
In2 In 0.315 0.443 0.329 1
Hg1 Hg 0.000 0.500 0.000 1
Hg2 Hg 0.185 0.737 0.645 1
Hg3 Hg 0.311 0.958 0.351 1
Hg4 Hg 0.472 0.749 0.000 1
```

[4]
This entry pairs a crystal structure of LiPaPd5 with its computed PXRD pattern. Radiation: Cu Kα. Structure: a DFT-relaxed cell (PBE, Alexandria).
Neutral-atom scattering factors, no anomalous dispersion.

Peak list (10 most intense, 2θ = 15–90°, most intense first)
2theta  d_spacing  I_rel  h k l
39.2  2.297  100  2 2 0
39.4  2.285  97  0 2 2
15.7  5.646  70  0 0 1
45.2  2.004  66  2 0 2
27.9  3.203  54  0 2 1
67.1  1.396  40  2 4 2
46.7  1.945  30  0 4 0
35.3  2.541  29  2 0 1
79.3  1.208  25  4 2 2
79.7  1.203  24  2 2 4

Structural model:
```
data_LiPaPd5
_cell_length_a 5.691
_cell_length_b 7.779
_cell_length_c 5.646
_cell_angle_alpha 90.00
_cell_angle_beta 90.00
_cell_angle_gamma 90.00
_space_group_name_H-M_alt 'C m m m'
_space_group_IT_number 65
_space_group_name_Hall '-C 2 2'
loop_
_atom_site_label
_atom_site_type_symbol
_atom_site_fract_x
_atom_site_fract_y
_atom_site_fract_z
_atom_site_occupancy
Li1 Li 0.000 0.000 0.000 1
Pa1 Pa 0.000 0.500 0.500 1
Pd1 Pd 0.000 0.000 0.500 1
Pd2 Pd 0.250 0.250 0.238 1
```